No. 1
Structure and computed powder diffraction line list of CaPd2C (a cell relaxed with GGA-PBE; Cu Ka).
Peak positions follow from Bragg's law for the DFT cell and can differ from measured ones.

Principal peaks in the range 10 to 90 degrees two-theta, by angle:
17.60°, intensity 34.8, hkl 0 0 1
18.38°, intensity 35.3, hkl 2 0 -1
20.51°, intensity 34.4, hkl 1 1 0
32.09°, intensity 43.4, hkl 1 1 1
33.43°, intensity 100.0, hkl 1 1 -2
37.26°, intensity 44.2, hkl 4 0 -2
38.29°, intensity 77.7, hkl 2 2 -1
40.72°, intensity 33.4, hkl 3 1 0
41.71°, intensity 40.0, hkl 2 2 0
43.96°, intensity 33.6, hkl 3 1 -3

Atomic structure:
a b c (Å): 9.6898 5.3826 6.6952
angles (deg): 90.00 131.17 90.00
Space group C2 (No. 5)
Inequivalent atoms, fractional coordinates:
Ca 0.1179 0.0000 0.3357 x4
Pd 0.0000 0.4513 0.0000 x2
Pd 0.0000 0.6051 0.5000 x2
Pd 0.2281 0.2228 0.9066 x4
C 0.2230 0.8675 0.7727 x4

No. 2
Structure and computed powder diffraction line list of CaPdC (a cell relaxed with GGA-PBE; Cu Ka).
Peak positions follow from Bragg's law for the DFT cell and can differ from measured ones.

Principal peaks in the range 10 to 90 degrees two-theta, by angle:
20.63°, intensity 41.5, hkl 0 1 1
29.45°, intensity 15.1, hkl 0 0 4
32.89°, intensity 28.4, hkl 1 0 3
34.51°, intensity 100.0, hkl 1 1 2
39.11°, intensity 22.3, hkl 0 2 0
42.11°, intensity 24.6, hkl 0 1 5
43.36°, intensity 20.8, hkl 1 1 4
49.48°, intensity 12.7, hkl 2 0 0
52.01°, intensity 18.2, hkl 1 2 3
67.92°, intensity 13.3, hkl 1 3 2

Atomic structure:
a b c (Å): 3.6844 4.6061 12.1260
angles (deg): 90.00 90.00 90.00
Space group Imm2 (No. 44)
Inequivalent atoms, fractional coordinates:
Ca 0.0000 0.0000 0.0000 x2
Ca 0.0000 0.5000 0.2347 x2
Pd 0.0000 0.0000 0.3964 x2
Pd 0.0000 0.5000 0.7099 x2
C 0.0000 0.1410 0.5830 x4